Entry 1:
Structure and calculated powder X-ray diffraction pattern of NdPtNO (a structure optimized by DFT (GGA-PBE); copper Kα).
Neutral-atom scattering factors, no anomalous dispersion.

Main lines, in order of rising 2θ (10 to 80 degrees two-theta):
12.00 deg, I = 40
24.14 deg, I = 30
24.27 deg, I = 46
32.22 deg, I = 30
32.32 deg, I = 100
36.56 deg, I = 30
38.79 deg, I = 53
42.79 deg, I = 50
49.76 deg, I = 29
57.52 deg, I = 32
58.87 deg, I = 31
71.77 deg, I = 25

Atomic structure:
Cell: 4.226 4.226 7.373 Å, 90.00 90.00 90.00°
Positions (direct):
Nd 0.250 0.250 0.145
Nd 0.750 0.750 0.855
Pt 0.250 0.750 0.500
Pt 0.750 0.250 0.500
N 0.250 0.250 0.473
N 0.750 0.750 0.527
O 0.250 0.750 0.000
O 0.750 0.250 0.000


Entry 2:
Structure and calculated powder X-ray diffraction pattern of Nd3S2NO (a structure optimized by DFT (GGA-PBE); copper Kα).
Neutral-atom scattering factors, no anomalous dispersion.

Main lines, in order of rising 2θ (10 to 80 degrees two-theta):
24.51 deg, I = 18
26.10 deg, I = 37
27.27 deg, I = 48
28.99 deg, I = 36
30.10 deg, I = 100
36.87 deg, I = 34
44.94 deg, I = 36
45.55 deg, I = 20
47.12 deg, I = 16
49.33 deg, I = 17
51.88 deg, I = 14
53.91 deg, I = 14

Atomic structure:
Cell: 8.051 8.051 9.846 Å, 98.35 98.35 28.64°
Positions (direct):
Nd 0.049 0.049 0.269
Nd 0.200 0.200 0.670
Nd 0.386 0.386 0.051
Nd 0.614 0.614 0.949
Nd 0.800 0.800 0.330
Nd 0.951 0.951 0.731
S 0.213 0.213 0.155
S 0.368 0.368 0.525
S 0.632 0.632 0.475
S 0.787 0.787 0.845
N 0.099 0.099 0.809
N 0.901 0.901 0.191
O 0.462 0.462 0.858
O 0.538 0.538 0.142


Entry 3:
Structure and calculated powder X-ray diffraction pattern of NdSbN2O (a structure optimized by DFT (GGA-PBE); copper Kα).
Neutral-atom scattering factors, no anomalous dispersion.

Main lines, in order of rising 2θ (10 to 80 degrees two-theta):
24.64 deg, I = 5
31.15 deg, I = 100
31.71 deg, I = 20
44.22 deg, I = 11
45.03 deg, I = 17
51.62 deg, I = 5
55.07 deg, I = 8
55.42 deg, I = 20
56.13 deg, I = 17
64.95 deg, I = 11
73.20 deg, I = 7
74.38 deg, I = 4

Atomic structure:
Cell: 5.746 8.192 5.643 Å, 90.00 90.00 90.00°
Positions (direct):
Nd 0.049 0.250 0.019
Nd 0.451 0.750 0.519
Nd 0.549 0.250 0.481
Nd 0.951 0.750 0.981
Sb 0.000 0.000 0.500
Sb 0.000 0.500 0.500
Sb 0.500 0.000 0.000
Sb 0.500 0.500 0.000
N 0.207 0.551 0.793
N 0.207 0.949 0.793
N 0.293 0.051 0.293
N 0.293 0.449 0.293
N 0.707 0.551 0.707
N 0.707 0.949 0.707
N 0.793 0.051 0.207
N 0.793 0.449 0.207
O 0.024 0.750 0.403
O 0.476 0.250 0.903
O 0.524 0.750 0.097
O 0.976 0.250 0.597


Entry 4:
Structure and calculated powder X-ray diffraction pattern of NdSbN2O (a structure optimized by DFT (GGA-PBE); copper Kα).
Neutral-atom scattering factors, no anomalous dispersion.

Main lines, in order of rising 2θ (10 to 80 degrees two-theta):
24.65 deg, I = 5
31.14 deg, I = 100
31.76 deg, I = 20
44.20 deg, I = 11
45.06 deg, I = 17
51.60 deg, I = 5
55.04 deg, I = 8
55.41 deg, I = 20
56.20 deg, I = 17
64.95 deg, I = 11
73.16 deg, I = 7
74.43 deg, I = 4

Atomic structure:
Cell: 5.748 8.197 5.634 Å, 90.00 90.00 90.00°
Positions (direct):
Nd 0.050 0.250 0.019
Nd 0.450 0.750 0.519
Nd 0.550 0.250 0.481
Nd 0.950 0.750 0.981
Sb 0.000 0.000 0.500
Sb 0.000 0.500 0.500
Sb 0.500 0.000 0.000
Sb 0.500 0.500 0.000
N 0.207 0.551 0.794
N 0.207 0.949 0.794
N 0.293 0.051 0.294
N 0.293 0.449 0.294
N 0.707 0.551 0.706
N 0.707 0.949 0.706
N 0.793 0.051 0.206
N 0.793 0.449 0.206
O 0.024 0.750 0.403
O 0.476 0.250 0.903
O 0.524 0.750 0.097
O 0.976 0.250 0.597


Entry 5:
Structure and calculated powder X-ray diffraction pattern of Nd2ScNO2 (a structure optimized by DFT (GGA-PBE); copper Kα).
Neutral-atom scattering factors, no anomalous dispersion.

Main lines, in order of rising 2θ (10 to 80 degrees two-theta):
10.42 deg, I = 28
30.15 deg, I = 12
31.62 deg, I = 29
31.98 deg, I = 92
36.99 deg, I = 100
53.07 deg, I = 32
53.54 deg, I = 31
63.10 deg, I = 14
63.53 deg, I = 25
63.74 deg, I = 13
66.86 deg, I = 16
78.75 deg, I = 10

Atomic structure:
Cell: 3.423 3.423 8.489 Å, 90.00 90.00 120.00°
Positions (direct):
Nd 0.333 0.667 0.330
Nd 0.667 0.333 0.670
Sc 0.000 0.000 0.000
N 0.000 0.000 0.500
O 0.333 0.667 0.874
O 0.667 0.333 0.126


Entry 6:
Structure and calculated powder X-ray diffraction pattern of NdTaN2O (a structure optimized by DFT (GGA-PBE); copper Kα).
Neutral-atom scattering factors, no anomalous dispersion.

Main lines, in order of rising 2θ (10 to 80 degrees two-theta):
31.43 deg, I = 100
31.53 deg, I = 32
31.66 deg, I = 67
44.76 deg, I = 16
45.39 deg, I = 30
55.78 deg, I = 12
55.95 deg, I = 14
56.22 deg, I = 32
56.35 deg, I = 21
65.57 deg, I = 8
66.14 deg, I = 8
75.17 deg, I = 11

Atomic structure:
Cell: 7.988 7.996 8.098 Å, 90.03 90.23 90.07°
Positions (direct):
Nd 0.010 0.247 0.477
Nd 0.020 0.252 0.990
Nd 0.472 0.750 0.510
Nd 0.489 0.749 0.018
Nd 0.511 0.251 0.982
Nd 0.528 0.250 0.490
Nd 0.980 0.748 0.010
Nd 0.990 0.753 0.523
Ta 0.241 0.005 0.745
Ta 0.248 0.008 0.242
Ta 0.253 0.490 0.747
Ta 0.259 0.492 0.257
Ta 0.741 0.508 0.743
Ta 0.747 0.510 0.253
Ta 0.752 0.992 0.758
Ta 0.759 0.995 0.255
N 0.000 0.047 0.218
N 0.000 0.953 0.782
N 0.193 0.252 0.719
N 0.214 0.550 0.499
N 0.229 0.953 0.502
N 0.265 0.467 0.998
N 0.291 0.036 0.999
N 0.293 0.248 0.294
N 0.500 0.453 0.721
N 0.500 0.547 0.279
N 0.707 0.752 0.706
N 0.709 0.964 0.001
N 0.735 0.533 0.002
N 0.771 0.047 0.498
N 0.786 0.450 0.501
N 0.807 0.748 0.281
O 0.001 0.567 0.775
O 0.208 0.748 0.199
O 0.316 0.755 0.779
O 0.498 0.934 0.277
O 0.502 0.066 0.723
O 0.684 0.245 0.221
O 0.792 0.252 0.801
O 0.999 0.433 0.225


Entry 7:
Structure and calculated powder X-ray diffraction pattern of NdTaN2O (a structure optimized by DFT (GGA-PBE); copper Kα).
Neutral-atom scattering factors, no anomalous dispersion.

Main lines, in order of rising 2θ (10 to 80 degrees two-theta):
18.94 deg, I = 7
30.93 deg, I = 82
31.22 deg, I = 100
36.40 deg, I = 7
40.43 deg, I = 8
44.52 deg, I = 41
55.38 deg, I = 33
55.55 deg, I = 20
61.36 deg, I = 17
65.11 deg, I = 16
73.82 deg, I = 14
79.06 deg, I = 8

Atomic structure:
Cell: 5.730 5.730 14.227 Å, 90.00 90.00 120.00°
Positions (direct):
Nd 0.000 0.000 0.250
Nd 0.000 0.000 0.750
Nd 0.333 0.667 0.111
Nd 0.333 0.667 0.389
Nd 0.667 0.333 0.611
Nd 0.667 0.333 0.889
Ta 0.000 0.000 0.000
Ta 0.000 0.000 0.500
Ta 0.333 0.667 0.647
Ta 0.333 0.667 0.853
Ta 0.667 0.333 0.147
Ta 0.667 0.333 0.353
N 0.161 0.321 0.589
N 0.161 0.321 0.911
N 0.161 0.839 0.589
N 0.161 0.839 0.911
N 0.321 0.161 0.089
N 0.321 0.161 0.411
N 0.679 0.839 0.589
N 0.679 0.839 0.911
N 0.839 0.161 0.089
N 0.839 0.161 0.411
N 0.839 0.679 0.089
N 0.839 0.679 0.411
O 0.005 0.502 0.250
O 0.498 0.502 0.250
O 0.498 0.995 0.250
O 0.502 0.005 0.750
O 0.502 0.498 0.750
O 0.995 0.498 0.750


Entry 8:
Structure and calculated powder X-ray diffraction pattern of TbNdNO (a structure optimized by DFT (GGA-PBE); copper Kα).
Neutral-atom scattering factors, no anomalous dispersion.

Main lines, in order of rising 2θ (10 to 80 degrees two-theta):
25.32 deg, I = 43
30.99 deg, I = 100
35.57 deg, I = 23
44.17 deg, I = 19
44.61 deg, I = 36
55.31 deg, I = 21
58.32 deg, I = 32
61.05 deg, I = 15
64.58 deg, I = 6
73.64 deg, I = 12
73.76 deg, I = 6
78.70 deg, I = 8

Atomic structure:
Cell: 4.058 7.044 5.047 Å, 90.00 90.00 90.00°
Positions (direct):
Tb 0.000 0.169 0.000
Tb 0.000 0.831 0.500
Nd 0.500 0.336 0.500
Nd 0.500 0.664 0.000
N 0.500 0.324 0.001
N 0.500 0.676 0.501
O 0.000 0.155 0.497
O 0.000 0.845 0.997


Entry 9:
Structure and calculated powder X-ray diffraction pattern of Nd3PN2 (a structure optimized by DFT (GGA-PBE); copper Kα).
Neutral-atom scattering factors, no anomalous dispersion.

Main lines, in order of rising 2θ (10 to 80 degrees two-theta):
28.23 deg, I = 24
28.87 deg, I = 86
33.28 deg, I = 100
39.65 deg, I = 9
47.35 deg, I = 29
48.19 deg, I = 35
56.05 deg, I = 13
56.79 deg, I = 22
57.16 deg, I = 13
59.82 deg, I = 18
69.87 deg, I = 9
77.94 deg, I = 11

Atomic structure:
Cell: 3.777 3.777 9.484 Å, 90.00 90.00 120.00°
Positions (direct):
Nd 0.000 0.000 0.000
Nd 0.333 0.667 0.305
Nd 0.667 0.333 0.695
P 0.000 0.000 0.500
N 0.333 0.667 0.846
N 0.667 0.333 0.154


Entry 10:
Structure and calculated powder X-ray diffraction pattern of PmPrNdN3 (a structure optimized by DFT (GGA-PBE); copper Kα).
Neutral-atom scattering factors, no anomalous dispersion.

Main lines, in order of rising 2θ (10 to 80 degrees two-theta):
30.11 deg, I = 100
34.90 deg, I = 75
50.19 deg, I = 52
59.65 deg, I = 46
62.59 deg, I = 17
73.71 deg, I = 8

Atomic structure:
Cell: 3.635 3.635 8.906 Å, 90.00 90.00 120.00°
Positions (direct):
Pm 0.000 0.000 0.000
Pr 0.333 0.667 0.667
Nd 0.667 0.333 0.330
N 0.000 0.000 0.497
N 0.333 0.667 0.163
N 0.667 0.333 0.837


Entry 11:
Structure and calculated powder X-ray diffraction pattern of Pr2NdTa2N6 (a structure optimized by DFT (GGA-PBE); copper Kα).
Neutral-atom scattering factors, no anomalous dispersion.

Main lines, in order of rising 2θ (10 to 80 degrees two-theta):
17.94 deg, I = 10
31.21 deg, I = 60
31.61 deg, I = 100
38.86 deg, I = 8
44.71 deg, I = 29
47.05 deg, I = 9
55.79 deg, I = 43
56.54 deg, I = 13
65.09 deg, I = 9
66.01 deg, I = 10
73.95 deg, I = 10
74.17 deg, I = 12

Atomic structure:
Cell: 10.294 10.294 10.294 Å, 157.29 157.29 32.33°
Positions (direct):
Pr 0.180 0.180 0.000
Pr 0.820 0.820 0.000
Nd 0.000 0.000 0.000
Ta 0.400 0.400 0.000
Ta 0.600 0.600 0.000
N 0.084 0.584 0.500
N 0.301 0.301 0.000
N 0.416 0.916 0.500
N 0.584 0.084 0.500
N 0.699 0.699 0.000
N 0.916 0.416 0.500


- Which formula does entry 10 have?
  PmPrNdN3